NaHoF4: theoretical XRD peak list (Cu Kα, 1.54184 Å), based on the GGA-PBE geometry in the Materials Project.

Cell and atoms:
```
data_NaHoF4
_chemical_formula_sum 'Na1 Ho1 F4'
_space_group_name_H-M_alt 'P 4/m m m'
_space_group_IT_number 123
_space_group_name_Hall '-P 4 2'
_cell_length_a 3.8091
_cell_length_b 3.8091
_cell_length_c 5.5669
_cell_angle_alpha 90.00
_cell_angle_beta 90.00
_cell_angle_gamma 90.00
loop_
_atom_site_label
_atom_site_fract_x
_atom_site_fract_y
_atom_site_fract_z
Na1 0.0000 0.0000 0.0000
Ho1 0.5000 0.5000 0.5000
F1 0.0000 0.5000 0.2719
```

Peak list (10 most intense, 10° ≤ 2θ ≤ 80°, by angle)
15.92 deg, rel. 63, hkl 0 0 1; 23.35 deg, rel. 44, hkl 1 0 0; 28.39 deg, rel. 100, hkl 1 0 1; 37.08 deg, rel. 23, hkl 1 1 1; 40.12 deg, rel. 22, hkl 1 0 2; 46.94 deg, rel. 48, hkl 1 1 2; 47.75 deg, rel. 23, hkl 2 0 0; 50.66 deg, rel. 13, hkl 2 0 1; 55.05 deg, rel. 16, hkl 1 0 3; 56.49 deg, rel. 29, hkl 2 1 1